No. 1
Diffraction record for Pu2BiAu. The powder diffraction line list is calculated, not measured: it uses a crystal structure in the Materials Project, relaxed with PBE and Cu Ka.
Neutral-atom scattering factors, no anomalous dispersion.

Cell and atoms:
```
data_Pu2BiAu
_chemical_formula_sum 'Pu8 Bi4 Au4'
_symmetry_space_group_name_H-M 'F m -3 m'
_symmetry_Int_Tables_number 225
_symmetry_space_group_name_Hall '-F 4 2 3'
_cell_length_a 7.566
_cell_length_b 7.566
_cell_length_c 7.566
_cell_angle_alpha 90.00
_cell_angle_beta 90.00
_cell_angle_gamma 90.00
loop_
_atom_site_label
_atom_site_type_symbol
_atom_site_fract_x
_atom_site_fract_y
_atom_site_fract_z
Pu1 Pu 0.250 0.250 0.250
Bi1 Bi 0.000 0.000 0.000
Au1 Au 0.000 0.000 0.500
```

Peak list (7 most intense, 2θ from 10° to 90°, sorted by position)
- hkl 2 0 0, 3.783 Å, 2θ = 23.52°, intensity 1
- hkl 2 2 0, 2.675 Å, 2θ = 33.50°, intensity 100
- hkl 4 0 0, 1.891 Å, 2θ = 48.11°, intensity 19
- hkl 4 2 2, 1.544 Å, 2θ = 59.89°, intensity 39
- hkl 4 4 0, 1.337 Å, 2θ = 70.40°, intensity 12
- hkl 6 2 0, 1.196 Å, 2θ = 80.25°, intensity 17
- hkl 4 4 4, 1.092 Å, 2θ = 89.82°, intensity 5

=====

No. 2
Diffraction record for SmBiAu2. The powder diffraction line list is calculated, not measured: it uses a crystal structure in the Materials Project, relaxed with PBE and Cu Ka.
Neutral-atom scattering factors, no anomalous dispersion.

Cell and atoms:
```
data_SmBiAu2
_chemical_formula_sum 'Sm4 Bi4 Au8'
_symmetry_space_group_name_H-M 'F m -3 m'
_symmetry_Int_Tables_number 225
_symmetry_space_group_name_Hall '-F 4 2 3'
_cell_length_a 7.281
_cell_length_b 7.281
_cell_length_c 7.281
_cell_angle_alpha 90.00
_cell_angle_beta 90.00
_cell_angle_gamma 90.00
loop_
_atom_site_label
_atom_site_type_symbol
_atom_site_fract_x
_atom_site_fract_y
_atom_site_fract_z
Sm1 Sm 0.000 0.000 0.000
Bi1 Bi 0.000 0.000 0.500
Au1 Au 0.250 0.250 0.250
```

Peak list (7 most intense, 2θ from 10° to 90°, sorted by position)
- hkl 1 1 1, 4.204 Å, 2θ = 21.14°, intensity 1
- hkl 2 2 0, 2.574 Å, 2θ = 34.85°, intensity 100
- hkl 3 1 1, 2.195 Å, 2θ = 41.12°, intensity 1
- hkl 4 0 0, 1.820 Å, 2θ = 50.12°, intensity 18
- hkl 4 2 2, 1.486 Å, 2θ = 62.49°, intensity 38
- hkl 4 4 0, 1.287 Å, 2θ = 73.59°, intensity 12
- hkl 6 2 0, 1.151 Å, 2θ = 84.08°, intensity 17

=====

No. 3
Diffraction record for Sm3Bi4Au3. The powder diffraction line list is calculated, not measured: it uses a crystal structure in the Materials Project, relaxed with PBE and Cu Ka.
Neutral-atom scattering factors, no anomalous dispersion.

Cell and atoms:
```
data_Sm3Bi4Au3
_chemical_formula_sum 'Sm12 Bi16 Au12'
_symmetry_space_group_name_H-M 'I -4 3 d'
_symmetry_Int_Tables_number 220
_symmetry_space_group_name_Hall 'I -4bd 2c 3'
_cell_length_a 10.271
_cell_length_b 10.271
_cell_length_c 10.271
_cell_angle_alpha 90.00
_cell_angle_beta 90.00
_cell_angle_gamma 90.00
loop_
_atom_site_label
_atom_site_type_symbol
_atom_site_fract_x
_atom_site_fract_y
_atom_site_fract_z
Sm1 Sm 0.000 0.250 0.875
Bi1 Bi 0.089 0.411 0.589
Au1 Au 0.000 0.250 0.375
```

Peak list (12 most intense, 2θ from 10° to 90°, sorted by position)
- hkl 2 1 1, 4.193 Å, 2θ = 21.19°, intensity 15
- hkl 3 1 0, 3.248 Å, 2θ = 27.46°, intensity 11
- hkl 3 2 1, 2.745 Å, 2θ = 32.62°, intensity 100
- hkl 4 2 0, 2.297 Å, 2θ = 39.23°, intensity 30
- hkl 4 2 2, 2.097 Å, 2θ = 43.15°, intensity 16
- hkl 5 1 0, 2.014 Å, 2θ = 45.01°, intensity 19
- hkl 5 2 1, 1.875 Å, 2θ = 48.55°, intensity 12
- hkl 6 2 0, 1.624 Å, 2θ = 56.68°, intensity 11
- hkl 6 3 1, 1.514 Å, 2θ = 61.20°, intensity 11
- hkl 4 4 4, 1.482 Å, 2θ = 62.67°, intensity 9
- hkl 5 5 2, 1.398 Å, 2θ = 66.95°, intensity 9
- hkl 6 4 2, 1.372 Å, 2θ = 68.35°, intensity 8

=====

No. 4
Diffraction record for ThBiAu2. The powder diffraction line list is calculated, not measured: it uses a crystal structure in the Materials Project, relaxed with PBE and Cu Ka.
Neutral-atom scattering factors, no anomalous dispersion.

Cell and atoms:
```
data_ThBiAu2
_chemical_formula_sum 'Th4 Bi4 Au8'
_symmetry_space_group_name_H-M 'F m -3 m'
_symmetry_Int_Tables_number 225
_symmetry_space_group_name_Hall '-F 4 2 3'
_cell_length_a 7.352
_cell_length_b 7.352
_cell_length_c 7.352
_cell_angle_alpha 90.00
_cell_angle_beta 90.00
_cell_angle_gamma 90.00
loop_
_atom_site_label
_atom_site_type_symbol
_atom_site_fract_x
_atom_site_fract_y
_atom_site_fract_z
Th1 Th 0.000 0.000 0.000
Bi1 Bi 0.000 0.000 0.500
Au1 Au 0.250 0.250 0.250
```

Peak list (5 most intense, 2θ from 10° to 90°, sorted by position)
- hkl 2 2 0, 2.599 Å, 2θ = 34.50°, intensity 100
- hkl 4 0 0, 1.838 Å, 2θ = 49.60°, intensity 18
- hkl 4 2 2, 1.501 Å, 2θ = 61.82°, intensity 38
- hkl 4 4 0, 1.300 Å, 2θ = 72.76°, intensity 12
- hkl 6 2 0, 1.162 Å, 2θ = 83.08°, intensity 17

=====

No. 5
Diffraction record for Au3Br. The powder diffraction line list is calculated, not measured: it uses a crystal structure in the Materials Project, relaxed with PBE and Cu Ka.
Neutral-atom scattering factors, no anomalous dispersion.

Cell and atoms:
```
data_Au3Br
_chemical_formula_sum 'Au6 Br2'
_symmetry_space_group_name_H-M 'P 63/m m c'
_symmetry_Int_Tables_number 194
_symmetry_space_group_name_Hall '-P 6c 2c'
_cell_length_a 6.7642
_cell_length_b 6.7642
_cell_length_c 4.4834
_cell_angle_alpha 90.00
_cell_angle_beta 90.00
_cell_angle_gamma 120.00
loop_
_atom_site_label
_atom_site_type_symbol
_atom_site_fract_x
_atom_site_fract_y
_atom_site_fract_z
Au1 Au 0.1454 0.2908 0.2500
Br1 Br 0.3333 0.6667 0.7500
```

Peak list (12 most intense, 2θ from 10° to 90°, sorted by position)
- hkl 1 0 0, 5.858 Å, 2θ = 15.12°, intensity 30
- hkl 2 0 0, 2.929 Å, 2θ = 30.52°, intensity 26
- hkl 2 0 1, 2.452 Å, 2θ = 36.65°, intensity 100
- hkl 0 0 2, 2.242 Å, 2θ = 40.23°, intensity 19
- hkl 2 1 1, 1.985 Å, 2θ = 45.70°, intensity 12
- hkl 3 0 1, 1.790 Å, 2θ = 51.01°, intensity 11
- hkl 2 0 2, 1.780 Å, 2θ = 51.32°, intensity 12
- hkl 2 2 0, 1.691 Å, 2θ = 54.24°, intensity 17
- hkl 4 0 1, 1.392 Å, 2θ = 67.25°, intensity 11
- hkl 2 2 2, 1.350 Å, 2θ = 69.65°, intensity 16
- hkl 2 0 3, 1.331 Å, 2θ = 70.78°, intensity 15
- hkl 3 2 2, 1.153 Å, 2θ = 83.95°, intensity 9

=====

No. 6
Diffraction record for AuBr3. The powder diffraction line list is calculated, not measured: it uses a crystal structure in the Materials Project, relaxed with PBE and Cu Ka.
Neutral-atom scattering factors, no anomalous dispersion.

Cell and atoms:
```
data_AuBr3
_chemical_formula_sum 'Au8 Br24'
_symmetry_space_group_name_H-M 'P 1 21/c 1'
_symmetry_Int_Tables_number 14
_symmetry_space_group_name_Hall '-P 2ybc'
_cell_length_a 7.050
_cell_length_b 20.813
_cell_length_c 9.138
_cell_angle_alpha 90.00
_cell_angle_beta 116.77
_cell_angle_gamma 90.00
loop_
_atom_site_label
_atom_site_type_symbol
_atom_site_fract_x
_atom_site_fract_y
_atom_site_fract_z
Au1 Au 0.131 0.211 0.285
Au2 Au 0.235 0.038 0.260
Br1 Br 0.031 0.560 0.730
Br2 Br 0.056 0.606 0.233
Br3 Br 0.170 0.733 0.712
Br4 Br 0.316 0.189 0.793
Br5 Br 0.432 0.143 0.292
Br6 Br 0.469 0.021 0.746
```

Peak list (12 most intense, 2θ from 10° to 90°, sorted by position)
- hkl 0 2 1, 6.421 Å, 2θ = 13.79°, intensity 25
- hkl 1 1 -1, 6.314 Å, 2θ = 14.03°, intensity 38
- hkl 1 1 0, 6.025 Å, 2θ = 14.70°, intensity 22
- hkl 0 4 0, 5.203 Å, 2θ = 17.04°, intensity 12
- hkl 1 0 -2, 4.461 Å, 2θ = 19.90°, intensity 10
- hkl 0 0 2, 4.079 Å, 2θ = 21.79°, intensity 100
- hkl 0 1 2, 4.004 Å, 2θ = 22.20°, intensity 12
- hkl 2 4 -1, 2.913 Å, 2θ = 30.69°, intensity 16
- hkl 1 7 0, 2.687 Å, 2θ = 33.34°, intensity 24
- hkl 2 4 -3, 2.441 Å, 2θ = 36.83°, intensity 13
- hkl 2 6 1, 2.068 Å, 2θ = 43.79°, intensity 12
- hkl 2 4 -5, 1.721 Å, 2θ = 53.23°, intensity 10

=====

No. 7
Diffraction record for Au3Br. The powder diffraction line list is calculated, not measured: it uses a crystal structure in the Materials Project, relaxed with PBE and Cu Ka.
Neutral-atom scattering factors, no anomalous dispersion.

Cell and atoms:
```
data_Au3Br
_chemical_formula_sum 'Au6 Br2'
_symmetry_space_group_name_H-M 'I 4/m m m'
_symmetry_Int_Tables_number 139
_symmetry_space_group_name_Hall '-I 4 2'
_cell_length_a 4.203
_cell_length_b 4.203
_cell_length_c 8.969
_cell_angle_alpha 90.00
_cell_angle_beta 90.00
_cell_angle_gamma 90.00
loop_
_atom_site_label
_atom_site_type_symbol
_atom_site_fract_x
_atom_site_fract_y
_atom_site_fract_z
Au1 Au 0.000 0.000 0.000
Au2 Au 0.000 0.500 0.250
Br1 Br 0.000 0.000 0.500
```

Peak list (12 most intense, 2θ from 10° to 90°, sorted by position)
- hkl 0 0 2, 4.484 Å, 2θ = 19.80°, intensity 3
- hkl 1 0 1, 3.806 Å, 2θ = 23.37°, intensity 9
- hkl 1 1 2, 2.477 Å, 2θ = 36.26°, intensity 100
- hkl 1 0 3, 2.436 Å, 2θ = 36.90°, intensity 3
- hkl 0 0 4, 2.242 Å, 2θ = 40.22°, intensity 19
- hkl 2 0 0, 2.102 Å, 2θ = 43.04°, intensity 31
- hkl 2 1 1, 1.840 Å, 2θ = 49.55°, intensity 3
- hkl 2 0 4, 1.533 Å, 2θ = 60.37°, intensity 23
- hkl 2 2 0, 1.486 Å, 2θ = 62.50°, intensity 10
- hkl 1 1 6, 1.335 Å, 2θ = 70.52°, intensity 15
- hkl 3 1 2, 1.274 Å, 2θ = 74.45°, intensity 25
- hkl 2 2 4, 1.239 Å, 2θ = 76.98°, intensity 12

=====

No. 8
Diffraction record for H8AuC2S2BrN4. The powder diffraction line list is calculated, not measured: it uses a crystal structure in the Materials Project, relaxed with PBE and Cu Ka.
Neutral-atom scattering factors, no anomalous dispersion.

Cell and atoms:
```
data_H8AuC2S2BrN4
_chemical_formula_sum 'H32 Au4 C8 S8 Br4 N16'
_symmetry_space_group_name_H-M 'C 1 2/c 1'
_symmetry_Int_Tables_number 15
_symmetry_space_group_name_Hall '-C 2yc'
_cell_length_a 9.020
_cell_length_b 16.323
_cell_length_c 6.959
_cell_angle_alpha 90.00
_cell_angle_beta 101.72
_cell_angle_gamma 90.00
loop_
_atom_site_label
_atom_site_type_symbol
_atom_site_fract_x
_atom_site_fract_y
_atom_site_fract_z
H1 H 0.106 0.078 0.081
H2 H 0.130 0.217 0.100
H3 H 0.211 0.016 0.267
H4 H 0.221 0.237 0.736
Au1 Au 0.000 0.500 0.000
C1 C 0.241 0.362 0.708
S1 S 0.093 0.367 0.508
Br1 Br 0.000 0.127 0.750
N1 N 0.183 0.073 0.212
N2 N 0.215 0.212 0.220
```

Peak list (12 most intense, 2θ from 10° to 90°, sorted by position)
- hkl 0 2 0, 8.161 Å, 2θ = 10.84°, intensity 61
- hkl 1 1 0, 7.768 Å, 2θ = 11.39°, intensity 100
- hkl 1 3 0, 4.632 Å, 2θ = 19.16°, intensity 55
- hkl 2 0 0, 4.416 Å, 2θ = 20.11°, intensity 29
- hkl 2 2 0, 3.884 Å, 2θ = 22.90°, intensity 36
- hkl 2 2 -1, 3.666 Å, 2θ = 24.28°, intensity 34
- hkl 1 1 -2, 3.348 Å, 2θ = 26.63°, intensity 51
- hkl 0 2 2, 3.144 Å, 2θ = 28.39°, intensity 22
- hkl 1 5 0, 3.062 Å, 2θ = 29.16°, intensity 22
- hkl 1 1 2, 2.933 Å, 2θ = 30.48°, intensity 38
- hkl 3 3 0, 2.589 Å, 2θ = 34.64°, intensity 20
- hkl 4 4 -2, 1.835 Å, 2θ = 49.68°, intensity 18

=====

No. 9
Diffraction record for AuC2S2BrN4. The powder diffraction line list is calculated, not measured: it uses a crystal structure in the Materials Project, relaxed with PBE and Cu Ka.
Neutral-atom scattering factors, no anomalous dispersion.

Cell and atoms:
```
data_AuC2S2BrN4
_chemical_formula_sum 'Au4 C8 S8 Br4 N16'
_symmetry_space_group_name_H-M 'C 1 2/c 1'
_symmetry_Int_Tables_number 15
_symmetry_space_group_name_Hall '-C 2yc'
_cell_length_a 9.921
_cell_length_b 17.837
_cell_length_c 5.666
_cell_angle_alpha 90.00
_cell_angle_beta 106.57
_cell_angle_gamma 90.00
loop_
_atom_site_label
_atom_site_type_symbol
_atom_site_fract_x
_atom_site_fract_y
_atom_site_fract_z
Au1 Au 0.000 0.000 0.000
C1 C 0.183 0.343 0.151
S1 S 0.012 0.127 0.080
Br1 Br 0.000 0.423 0.750
N1 N 0.168 0.409 0.065
N2 N 0.205 0.280 0.238
```

Peak list (12 most intense, 2θ from 10° to 90°, sorted by position)
- hkl 1 1 0, 8.391 Å, 2θ = 10.54°, intensity 100
- hkl 1 3 0, 5.041 Å, 2θ = 17.59°, intensity 33
- hkl 2 0 0, 4.755 Å, 2θ = 18.66°, intensity 54
- hkl 2 2 0, 4.196 Å, 2θ = 21.18°, intensity 67
- hkl 1 5 0, 3.340 Å, 2θ = 26.69°, intensity 26
- hkl 3 1 0, 3.121 Å, 2θ = 28.60°, intensity 20
- hkl 1 1 -2, 2.798 Å, 2θ = 31.99°, intensity 28
- hkl 1 7 0, 2.461 Å, 2θ = 36.51°, intensity 27
- hkl 3 1 -2, 2.411 Å, 2θ = 37.29°, intensity 45
- hkl 2 6 -2, 2.005 Å, 2θ = 45.23°, intensity 20
- hkl 5 1 -2, 1.812 Å, 2θ = 50.37°, intensity 22
- hkl 2 8 -2, 1.722 Å, 2θ = 53.18°, intensity 28

=====

No. 10
Diffraction record for CoAuBr6N6. The powder diffraction line list is calculated, not measured: it uses a crystal structure in the Materials Project, relaxed with PBE and Cu Ka.
Neutral-atom scattering factors, no anomalous dispersion.

Cell and atoms:
```
data_CoAuBr6N6
_chemical_formula_sum 'Co2 Au2 Br12 N12'
_symmetry_space_group_name_H-M 'P 1 21/c 1'
_symmetry_Int_Tables_number 14
_symmetry_space_group_name_Hall '-P 2ybc'
_cell_length_a 10.919
_cell_length_b 6.218
_cell_length_c 17.265
_cell_angle_alpha 90.00
_cell_angle_beta 129.17
_cell_angle_gamma 90.00
loop_
_atom_site_label
_atom_site_type_symbol
_atom_site_fract_x
_atom_site_fract_y
_atom_site_fract_z
Co1 Co 0.000 0.000 0.000
Au1 Au 0.500 0.000 0.500
Br1 Br 0.142 0.038 0.636
Br2 Br 0.248 0.181 0.366
Br3 Br 0.336 0.669 0.407
N1 N 0.046 0.237 0.056
N2 N 0.329 0.014 0.098
N3 N 0.341 0.587 0.656
```

Peak list (12 most intense, 2θ from 10° to 90°, sorted by position)
- hkl 1 0 -2, 8.458 Å, 2θ = 10.46°, intensity 76
- hkl 0 0 2, 6.692 Å, 2θ = 13.23°, intensity 53
- hkl 2 0 -2, 5.460 Å, 2θ = 16.24°, intensity 100
- hkl 2 0 -4, 4.228 Å, 2θ = 21.01°, intensity 77
- hkl 1 1 -3, 4.204 Å, 2θ = 21.14°, intensity 51
- hkl 2 1 -3, 3.922 Å, 2θ = 22.67°, intensity 36
- hkl 1 1 3, 2.846 Å, 2θ = 31.44°, intensity 29
- hkl 1 1 -5, 2.844 Å, 2θ = 31.46°, intensity 46
- hkl 3 0 -6, 2.819 Å, 2θ = 31.74°, intensity 29
- hkl 1 2 1, 2.730 Å, 2θ = 32.81°, intensity 27
- hkl 1 2 2, 2.484 Å, 2θ = 36.16°, intensity 28
- hkl 3 1 1, 2.290 Å, 2θ = 39.34°, intensity 39

=====

No. 11
Diffraction record for Cs3AuBr6. The powder diffraction line list is calculated, not measured: it uses a crystal structure in the Materials Project, relaxed with PBE and Cu Ka.
Neutral-atom scattering factors, no anomalous dispersion.

Cell and atoms:
```
data_Cs3AuBr6
_chemical_formula_sum 'Cs12 Au4 Br24'
_symmetry_space_group_name_H-M 'F m -3 m'
_symmetry_Int_Tables_number 225
_symmetry_space_group_name_Hall '-F 4 2 3'
_cell_length_a 12.024
_cell_length_b 12.024
_cell_length_c 12.024
_cell_angle_alpha 90.00
_cell_angle_beta 90.00
_cell_angle_gamma 90.00
loop_
_atom_site_label
_atom_site_type_symbol
_atom_site_fract_x
_atom_site_fract_y
_atom_site_fract_z
Cs1 Cs 0.000 0.000 0.000
Cs2 Cs 0.250 0.250 0.250
Au1 Au 0.000 0.000 0.500
Br1 Br 0.000 0.000 0.278
```

Peak list (12 most intense, 2θ from 10° to 90°, sorted by position)
- hkl 1 1 1, 6.942 Å, 2θ = 12.75°, intensity 20
- hkl 2 0 0, 6.012 Å, 2θ = 14.73°, intensity 28
- hkl 2 2 0, 4.251 Å, 2θ = 20.90°, intensity 85
- hkl 2 2 2, 3.471 Å, 2θ = 25.66°, intensity 29
- hkl 4 0 0, 3.006 Å, 2θ = 29.72°, intensity 100
- hkl 4 2 2, 2.454 Å, 2θ = 36.61°, intensity 34
- hkl 4 4 0, 2.126 Å, 2θ = 42.53°, intensity 69
- hkl 6 2 0, 1.901 Å, 2θ = 47.84°, intensity 26
- hkl 4 4 4, 1.736 Å, 2θ = 52.74°, intensity 22
- hkl 6 4 2, 1.607 Å, 2θ = 57.34°, intensity 26
- hkl 8 4 0, 1.344 Å, 2θ = 69.98°, intensity 26
- hkl 8 4 4, 1.227 Å, 2θ = 77.83°, intensity 18